[1]
Theoretical powder diffractogram
Compound: Rb3PuO6
Radiation: CuKα
Structure: the PBE geometry in Alexandria
Intensities are scaled so that the largest is 1000.

a = 6.539 Å, b = 6.539 Å, c = 9.548 Å
α = 90.00°, β = 90.00°, γ = 90.00°
Space group P4/mnc (No. 128)
Asymmetric unit:
Rb1 0.000 0.000 0.000 x2
Rb2 0.000 0.500 0.250 x4
Pu1 0.000 0.000 0.500 x2
O1 0.000 0.000 0.295 x4
O2 0.137 0.264 0.500 x8

Largest 10 diffraction maxima, sorted by position, 10° ≤ 2θ ≤ 90°:
2θ/deg, d [Å], I (rel.), index
16.43, 5.395, 457, 1 0 1
19.19, 4.624, 163, 1 1 0
26.84, 3.321, 1000, 1 1 2
27.28, 3.270, 544, 2 0 0
37.68, 2.387, 159, 0 0 4
38.96, 2.312, 253, 2 2 0
47.14, 1.928, 228, 2 0 4
47.94, 1.898, 441, 3 1 2
55.32, 1.661, 168, 2 2 4
76.38, 1.247, 136, 4 2 4


[2]
Theoretical powder diffractogram
Compound: Rb2Pu2O7
Radiation: CuKα
Structure: the PBE geometry in Alexandria
Intensities are scaled so that the largest is 1000.

a = 8.163 Å, b = 11.239 Å, c = 8.472 Å
α = 90.00°, β = 90.00°, γ = 90.00°
Space group Imma (No. 74)
Asymmetric unit:
Rb1 0.000 0.000 0.000 x4
Rb2 0.250 0.250 0.250 x4
Pu1 0.000 0.000 0.500 x4
Pu2 0.250 0.250 0.750 x4
O1 0.000 0.081 0.310 x8
O2 0.000 0.250 0.830 x4
O3 0.196 0.122 0.586 x16

Largest 10 diffraction maxima, sorted by position, 10° ≤ 2θ ≤ 90°:
2θ/deg, d [Å], I (rel.), index
13.09, 6.765, 352, 0 1 1
15.07, 5.878, 259, 1 0 1
21.88, 4.062, 199, 1 2 1
26.35, 3.383, 1000, 0 2 2
27.00, 3.302, 947, 2 2 0
30.41, 2.939, 577, 2 0 2
31.85, 2.810, 250, 0 4 0
44.61, 2.031, 536, 2 4 2
51.24, 1.783, 359, 2 2 4
52.36, 1.747, 310, 4 2 2


[3]
Theoretical powder diffractogram
Compound: RbPuO
Radiation: CuKα
Structure: the PBE geometry in Alexandria
Intensities are scaled so that the largest is 1000.

a = 7.019 Å, b = 6.678 Å, c = 8.365 Å
α = 90.00°, β = 114.76°, γ = 90.00°
Space group C2/m (No. 12)
Asymmetric unit:
Rb1 0.000 0.250 0.000 x4
Pu1 0.000 0.248 0.500 x4
O1 0.241 0.500 0.501 x4

Largest 10 diffraction maxima, sorted by position, 10° ≤ 2θ ≤ 90°:
2θ/deg, d [Å], I (rel.), index
11.65, 7.596, 1000, 0 0 1
23.42, 3.798, 916, 0 0 2
26.70, 3.339, 530, 0 2 0
28.01, 3.186, 943, 2 0 0
35.81, 2.508, 500, 0 2 2
39.08, 2.305, 968, 2 2 0
44.10, 2.053, 284, 2 0 2
52.31, 1.749, 417, 2 2 2
62.84, 1.479, 205, 2 4 0
64.85, 1.438, 188, 4 2 0


Q: What is the formula in the first record?
A: Rb3PuO6